# 1
The following is a computed X-ray diffraction stick pattern of CuBiS2Br. It was derived from a crystal structure in Alexandria, relaxed with GGA-PBE, using CuKα.

Atomic structure:
```
data_CuBiS2Br
_chemical_formula_sum 'Cu2 Bi2 S4 Br2'
_symmetry_space_group_name_H-M 'P 1'
_symmetry_Int_Tables_number 1
_cell_length_a 7.7056
_cell_length_b 4.6024
_cell_length_c 8.8436
_cell_angle_alpha 90.00
_cell_angle_beta 111.69
_cell_angle_gamma 90.00
loop_
_symmetry_equiv_pos_as_xyz
'x,y,z'
loop_
_atom_site_label
_atom_site_type_symbol
_atom_site_fract_x
_atom_site_fract_y
_atom_site_fract_z
Cu1 Cu 0.1592 0.2500 0.0886
Cu2 Cu 0.8408 0.7500 0.9114
Bi1 Bi 0.2330 0.7500 0.4279
Bi2 Bi 0.7670 0.2500 0.5721
S1 S 0.1382 0.7500 0.0899
S2 S 0.3785 0.2500 0.3405
S3 S 0.6215 0.7500 0.6595
S4 S 0.8618 0.2500 0.9101
Br1 Br 0.1844 0.2500 0.6687
Br2 Br 0.8156 0.7500 0.3313
```

The 10 most intense peaks (10° ≤ 2θ ≤ 90°), by intensity:
2θ = 10.77°, I 100.0
2θ = 23.36°, I 68.3
2θ = 28.34°, I 55.4
2θ = 24.87°, I 55.0
2θ = 29.13°, I 47.8
2θ = 13.06°, I 41.7
2θ = 41.02°, I 39.6
2θ = 30.32°, I 37.1
2θ = 39.15°, I 35.7
2θ = 40.32°, I 27.8

=====

# 2
The following is a computed X-ray diffraction stick pattern of LiThGa2. It was derived from a crystal structure in Alexandria, relaxed with GGA-PBE, using CuKα.

Atomic structure:
```
data_LiThGa2
_chemical_formula_sum 'Li4 Th4 Ga8'
_symmetry_space_group_name_H-M 'P 1'
_symmetry_Int_Tables_number 1
_cell_length_a 7.6710
_cell_length_b 4.1832
_cell_length_c 10.6248
_cell_angle_alpha 90.00
_cell_angle_beta 90.00
_cell_angle_gamma 90.00
loop_
_symmetry_equiv_pos_as_xyz
'x,y,z'
loop_
_atom_site_label
_atom_site_type_symbol
_atom_site_fract_x
_atom_site_fract_y
_atom_site_fract_z
Li1 Li 0.0135 0.2500 0.1047
Li2 Li 0.4865 0.7500 0.6047
Li3 Li 0.5135 0.2500 0.3953
Li4 Li 0.9865 0.7500 0.8953
Th1 Th 0.1453 0.7500 0.3662
Th2 Th 0.3547 0.2500 0.8662
Th3 Th 0.6453 0.7500 0.1338
Th4 Th 0.8547 0.2500 0.6338
Ga1 Ga 0.1512 0.7500 0.6805
Ga2 Ga 0.2369 0.7500 0.0657
Ga3 Ga 0.2631 0.2500 0.5657
Ga4 Ga 0.3488 0.2500 0.1805
Ga5 Ga 0.6512 0.7500 0.8195
Ga6 Ga 0.7369 0.7500 0.4343
Ga7 Ga 0.7631 0.2500 0.9343
Ga8 Ga 0.8488 0.2500 0.3195
```

The 10 most intense peaks (10° ≤ 2θ ≤ 90°), by intensity:
2θ = 31.65°, I 100.0
2θ = 35.20°, I 87.4
2θ = 14.24°, I 72.7
2θ = 33.14°, I 45.9
2θ = 22.85°, I 39.7
2θ = 46.94°, I 38.7
2θ = 27.74°, I 36.9
2θ = 43.26°, I 34.2
2θ = 29.57°, I 28.6
2θ = 43.66°, I 28.0

=====

# 3
The following is a computed X-ray diffraction stick pattern of Hf5Tc6. It was derived from a crystal structure in Alexandria, relaxed with GGA-PBE, using CuKα.

Atomic structure:
```
data_Hf5Tc6
_chemical_formula_sum 'Hf5 Tc6'
_symmetry_space_group_name_H-M 'P 1'
_symmetry_Int_Tables_number 1
_cell_length_a 7.8487
_cell_length_b 7.8487
_cell_length_c 7.8487
_cell_angle_alpha 146.18
_cell_angle_beta 131.45
_cell_angle_gamma 60.48
loop_
_symmetry_equiv_pos_as_xyz
'x,y,z'
loop_
_atom_site_label
_atom_site_type_symbol
_atom_site_fract_x
_atom_site_fract_y
_atom_site_fract_z
Hf1 Hf 0.0000 0.0000 0.0000
Hf2 Hf 0.1683 0.6683 0.5000
Hf3 Hf 0.3375 0.3375 0.0000
Hf4 Hf 0.6625 0.6625 0.0000
Hf5 Hf 0.8317 0.3317 0.5000
Tc1 Tc 0.0877 0.8364 0.2513
Tc2 Tc 0.2495 0.5000 0.7495
Tc3 Tc 0.4149 0.1636 0.2513
Tc4 Tc 0.5851 0.8364 0.7487
Tc5 Tc 0.7505 0.5000 0.2505
Tc6 Tc 0.9123 0.1636 0.7487
```

The 10 most intense peaks (10° ≤ 2θ ≤ 90°), by intensity:
2θ = 39.59°, I 100.0
2θ = 71.65°, I 25.9
2θ = 39.47°, I 25.3
2θ = 39.89°, I 24.3
2θ = 57.37°, I 16.7
2θ = 72.22°, I 16.5
2θ = 85.26°, I 10.9
2θ = 57.08°, I 8.6
2θ = 71.90°, I 8.5
2θ = 15.20°, I 6.4

=====

# 4
The following is a computed X-ray diffraction stick pattern of Th2Rh5. It was derived from a crystal structure in Alexandria, relaxed with GGA-PBE, using CuKα.

Atomic structure:
```
data_Th2Rh5
_chemical_formula_sum 'Th4 Rh10'
_symmetry_space_group_name_H-M 'P 1'
_symmetry_Int_Tables_number 1
_cell_length_a 7.2388
_cell_length_b 7.2388
_cell_length_c 5.8530
_cell_angle_alpha 90.00
_cell_angle_beta 90.00
_cell_angle_gamma 121.09
loop_
_symmetry_equiv_pos_as_xyz
'x,y,z'
loop_
_atom_site_label
_atom_site_type_symbol
_atom_site_fract_x
_atom_site_fract_y
_atom_site_fract_z
Th1 Th 0.0987 0.3053 0.0000
Th2 Th 0.3053 0.0987 0.5000
Th3 Th 0.6947 0.9013 0.5000
Th4 Th 0.9013 0.6947 0.0000
Rh1 Rh 0.0894 0.3553 0.5000
Rh2 Rh 0.2696 0.7304 0.2500
Rh3 Rh 0.2696 0.7304 0.7500
Rh4 Rh 0.3553 0.0894 0.0000
Rh5 Rh 0.5000 0.5000 0.2500
Rh6 Rh 0.5000 0.5000 0.7500
Rh7 Rh 0.6447 0.9106 0.0000
Rh8 Rh 0.7304 0.2696 0.2500
Rh9 Rh 0.7304 0.2696 0.7500
Rh10 Rh 0.9106 0.6447 0.5000
```

The 10 most intense peaks (10° ≤ 2θ ≤ 90°), by intensity:
2θ = 39.88°, I 100.0
2θ = 38.14°, I 93.1
2θ = 42.14°, I 85.1
2θ = 29.01°, I 43.6
2θ = 38.60°, I 32.6
2θ = 76.62°, I 30.9
2θ = 33.87°, I 27.5
2θ = 62.41°, I 27.5
2θ = 37.86°, I 21.2
2θ = 76.90°, I 19.6

=====

# 5
The following is a computed X-ray diffraction stick pattern of KSr3. It was derived from a crystal structure in Alexandria, relaxed with GGA-PBE, using CuKα.

Atomic structure:
```
data_KSr3
_chemical_formula_sum 'K1 Sr3'
_symmetry_space_group_name_H-M 'P 1'
_symmetry_Int_Tables_number 1
_cell_length_a 4.1836
_cell_length_b 6.8532
_cell_length_c 8.2156
_cell_angle_alpha 90.00
_cell_angle_beta 100.68
_cell_angle_gamma 90.00
loop_
_symmetry_equiv_pos_as_xyz
'x,y,z'
loop_
_atom_site_label
_atom_site_type_symbol
_atom_site_fract_x
_atom_site_fract_y
_atom_site_fract_z
K1 K 0.0000 0.0000 0.0000
Sr1 Sr 0.2220 0.5000 0.7437
Sr2 Sr 0.5000 0.0000 0.5000
Sr3 Sr 0.7780 0.5000 0.2563
```

The 10 most intense peaks (10° ≤ 2θ ≤ 90°), by intensity:
2θ = 25.95°, I 100.0
2θ = 25.61°, I 69.1
2θ = 26.08°, I 32.3
2θ = 45.59°, I 27.4
2θ = 37.16°, I 25.0
2θ = 45.24°, I 14.4
2θ = 45.82°, I 13.7
2θ = 36.35°, I 13.6
2θ = 46.10°, I 12.7
2θ = 60.58°, I 10.8

=====

# 6
The following is a computed X-ray diffraction stick pattern of BeAl2Hg. It was derived from a crystal structure in Alexandria, relaxed with GGA-PBE, using CuKα.

Atomic structure:
```
data_BeAl2Hg
_chemical_formula_sum 'Be2 Al4 Hg2'
_symmetry_space_group_name_H-M 'P 1'
_symmetry_Int_Tables_number 1
_cell_length_a 4.0110
_cell_length_b 4.0110
_cell_length_c 8.1698
_cell_angle_alpha 90.00
_cell_angle_beta 90.00
_cell_angle_gamma 90.00
loop_
_symmetry_equiv_pos_as_xyz
'x,y,z'
loop_
_atom_site_label
_atom_site_type_symbol
_atom_site_fract_x
_atom_site_fract_y
_atom_site_fract_z
Be1 Be 0.0000 0.0000 0.0000
Be2 Be 0.5000 0.5000 0.5000
Al1 Al 0.0000 0.5000 0.2500
Al2 Al 0.0000 0.5000 0.7500
Al3 Al 0.5000 0.0000 0.2500
Al4 Al 0.5000 0.0000 0.7500
Hg1 Hg 0.0000 0.0000 0.5000
Hg2 Hg 0.5000 0.5000 0.0000
```

The 10 most intense peaks (10° ≤ 2θ ≤ 90°), by intensity:
2θ = 24.73°, I 100.0
2θ = 38.65°, I 57.9
2θ = 40.02°, I 29.5
2θ = 52.21°, I 27.7
2θ = 21.76°, I 20.5
2θ = 45.21°, I 18.6
2θ = 31.54°, I 16.9
2θ = 61.95°, I 16.7
2θ = 79.05°, I 14.9
2θ = 65.19°, I 12.6

=====

# 7
The following is a computed X-ray diffraction stick pattern of Er5ScAu6. It was derived from a crystal structure in Alexandria, relaxed with GGA-PBE, using CuKα.

Atomic structure:
```
data_Er5ScAu6
_chemical_formula_sum 'Er5 Sc1 Au6'
_symmetry_space_group_name_H-M 'P 1'
_symmetry_Int_Tables_number 1
_cell_length_a 8.6827
_cell_length_b 8.6827
_cell_length_c 4.9980
_cell_angle_alpha 106.68
_cell_angle_beta 106.68
_cell_angle_gamma 120.04
loop_
_symmetry_equiv_pos_as_xyz
'x,y,z'
loop_
_atom_site_label
_atom_site_type_symbol
_atom_site_fract_x
_atom_site_fract_y
_atom_site_fract_z
Er1 Er 0.0000 0.0000 0.0000
Er2 Er 0.1658 0.8342 0.5000
Er3 Er 0.3326 0.6674 0.0000
Er4 Er 0.6674 0.3326 0.0000
Er5 Er 0.8342 0.1658 0.5000
Sc1 Sc 0.5000 0.5000 0.5000
Au1 Au 0.0935 0.4191 0.2563
Au2 Au 0.2618 0.2618 0.7615
Au3 Au 0.4191 0.0935 0.2563
Au4 Au 0.5809 0.9065 0.7437
Au5 Au 0.7382 0.7382 0.2385
Au6 Au 0.9065 0.5809 0.7437
```

The 10 most intense peaks (10° ≤ 2θ ≤ 90°), by intensity:
2θ = 35.81°, I 100.0
2θ = 35.94°, I 20.0
2θ = 64.42°, I 18.2
2θ = 64.30°, I 18.1
2θ = 51.64°, I 14.2
2θ = 64.57°, I 7.3
2θ = 51.45°, I 7.1
2θ = 75.85°, I 6.8
2θ = 87.11°, I 6.7
2θ = 86.96°, I 6.6

=====

# 8
The following is a computed X-ray diffraction stick pattern of Ce2AgHg3. It was derived from a crystal structure in Alexandria, relaxed with GGA-PBE, using CuKα.

Atomic structure:
```
data_Ce2AgHg3
_chemical_formula_sum 'Ce4 Ag2 Hg6'
_symmetry_space_group_name_H-M 'P 1'
_symmetry_Int_Tables_number 1
_cell_length_a 10.1089
_cell_length_b 9.3670
_cell_length_c 6.0605
_cell_angle_alpha 78.68
_cell_angle_beta 65.31
_cell_angle_gamma 36.01
loop_
_symmetry_equiv_pos_as_xyz
'x,y,z'
loop_
_atom_site_label
_atom_site_type_symbol
_atom_site_fract_x
_atom_site_fract_y
_atom_site_fract_z
Ce1 Ce 0.2500 0.2500 0.2500
Ce2 Ce 0.2500 0.7500 0.7500
Ce3 Ce 0.7500 0.2500 0.2500
Ce4 Ce 0.7500 0.7500 0.7500
Ag1 Ag 0.1666 0.1666 0.8334
Ag2 Ag 0.8334 0.8334 0.1666
Hg1 Hg 0.1614 0.6694 0.3306
Hg2 Hg 0.3307 0.3307 0.6693
Hg3 Hg 0.3306 0.8386 0.1614
Hg4 Hg 0.6694 0.1614 0.8386
Hg5 Hg 0.6693 0.6693 0.3307
Hg6 Hg 0.8386 0.3306 0.6694
```

The 10 most intense peaks (10° ≤ 2θ ≤ 90°), by intensity:
2θ = 35.51°, I 100.0
2θ = 33.77°, I 94.0
2θ = 62.66°, I 31.5
2θ = 49.81°, I 31.4
2θ = 67.22°, I 31.4
2θ = 44.99°, I 20.1
2θ = 63.77°, I 18.2
2θ = 89.13°, I 15.5
2θ = 84.99°, I 13.8
2θ = 26.71°, I 13.3